For CdTeI2N, a DFT-relaxed cell (PBE, Alexandria) gives the calculated powder diffractogram in this record (Cu Kα).

Principal peaks in the range 2θ from 5° to 70°, by intensity:
two_theta	I (rel.)
29.36	100
29.56	58
25.58	56
52.57	38
42.01	37
39.33	36
20.92	24
61.35	23

Atomic structure:
```
data_CdTeI2N
_space_group_name_H-M_alt 'P 1'
_space_group_IT_number 1
_space_group_name_Hall 'P 1'
_cell_length_a 6.0836
_cell_length_b 6.0836
_cell_length_c 4.2463
_cell_angle_alpha 90.00
_cell_angle_beta 90.00
_cell_angle_gamma 90.00
loop_
_atom_site_label
_atom_site_type_symbol
_atom_site_fract_x
_atom_site_fract_y
_atom_site_fract_z
_atom_site_occupancy
Cd1 Cd 0.0000 0.0000 0.0000 1
Te1 Te 0.5000 0.5000 0.5000 1
I1 I 0.0000 0.5000 0.0000 1
I2 I 0.5000 0.0000 0.0000 1
N1 N 0.0000 0.0000 0.5000 1
```